Record 1
For Rb3TcH6, a PBE-relaxed structure gives the simulated powder X-ray diffraction pattern in this record (CuKα).
Neutral-atom scattering factors, no anomalous dispersion.

Top 9 peaks for 10 to 90 degrees two-theta, by angle:
17.27 deg, I 0.6, hkl 1 1 1
28.39 deg, I 100.0, hkl 2 2 0
40.58 deg, I 19.5, hkl 4 0 0
50.27 deg, I 39.4, hkl 4 2 2
58.74 deg, I 12.6, hkl 4 4 0
66.51 deg, I 17.2, hkl 6 2 0
73.84 deg, I 4.2, hkl 4 4 4
80.91 deg, I 19.8, hkl 6 4 2
87.83 deg, I 2.1, hkl 8 0 0

Cell and atoms:
Lattice parameters (Å, degrees): 8.8916 8.8916 8.8916 90.00 90.00 90.00
Space group Fm-3m (No. 225)
Asymmetric unit:
Rb 0.0000 0.0000 0.0000 [4 per cell]
Rb 0.2500 0.2500 0.2500 [8 per cell]
Tc 0.0000 0.0000 0.5000 [4 per cell]
H 0.0000 0.0000 0.2991 [24 per cell]



Record 2
For Rb3TeH2, a PBE-relaxed structure gives the simulated powder X-ray diffraction pattern in this record (CuKα).
Neutral-atom scattering factors, no anomalous dispersion.

Top 10 peaks for 10 to 90 degrees two-theta, by angle:
23.15 deg, I 37.0, hkl 1 1 1
25.03 deg, I 100.0, hkl 3 1 1
26.71 deg, I 31.9, hkl 8 0 0
28.37 deg, I 72.1, hkl 5 1 -1
28.50 deg, I 47.2, hkl 5 1 1
32.16 deg, I 44.6, hkl 0 2 0
33.07 deg, I 51.7, hkl 0 0 2
42.29 deg, I 18.0, hkl 8 2 0
46.81 deg, I 30.4, hkl 0 2 2
55.07 deg, I 18.9, hkl 5 3 -1

Cell and atoms:
Lattice parameters (Å, degrees): 26.6967 5.5663 5.4150 90.00 90.38 90.00
Space group C2/m (No. 12)
Asymmetric unit:
Rb 0.0712 0.0000 0.2520 [4 per cell]
Rb 0.0713 0.5000 0.7521 [4 per cell]
Rb 0.2018 0.0000 0.7528 [4 per cell]
Te 0.1615 0.5000 0.2545 [4 per cell]
H 0.0411 0.0000 0.7508 [4 per cell]
H 0.1682 0.5000 0.7584 [4 per cell]



Record 3
For RbTe3H, a PBE-relaxed structure gives the simulated powder X-ray diffraction pattern in this record (CuKα).
Neutral-atom scattering factors, no anomalous dispersion.

Top 10 peaks for 10 to 90 degrees two-theta, by angle:
27.16 deg, I 31.6, hkl 2 0 2
29.54 deg, I 61.2, hkl 1 1 3
31.32 deg, I 100.0, hkl 2 1 1
33.84 deg, I 43.6, hkl 1 2 2
48.31 deg, I 21.3, hkl 1 2 5
49.20 deg, I 10.7, hkl 0 4 2
51.84 deg, I 19.3, hkl 3 2 1
54.10 deg, I 15.3, hkl 4 1 0
56.03 deg, I 19.2, hkl 4 0 4
61.57 deg, I 15.6, hkl 2 1 7

Cell and atoms:
Lattice parameters (Å, degrees): 8.9707 8.9707 12.2816 90.00 90.00 120.00
Space group R3c (No. 161, hexagonal axes)
Asymmetric unit:
Rb 0.0000 0.0000 0.0000 [6 per cell]
Te 0.0977 0.4296 0.4162 [18 per cell]
H 0.0000 0.0000 0.2497 [6 per cell]



Record 4
For Rb2TeH2, a PBE-relaxed structure gives the simulated powder X-ray diffraction pattern in this record (CuKα).
Neutral-atom scattering factors, no anomalous dispersion.

Top 10 peaks for 10 to 90 degrees two-theta, by angle:
17.95 deg, I 77.9, hkl 1 1 -1
18.14 deg, I 27.8, hkl 0 0 2
29.33 deg, I 100.0, hkl 3 1 -1
29.62 deg, I 97.5, hkl 1 1 -3
29.78 deg, I 46.3, hkl 0 2 0
29.90 deg, I 47.9, hkl 2 0 2
34.97 deg, I 20.4, hkl 3 1 1
41.62 deg, I 19.1, hkl 4 0 -4
42.71 deg, I 33.7, hkl 2 2 2
52.52 deg, I 28.3, hkl 2 0 -6

Cell and atoms:
Lattice parameters (Å, degrees): 10.6066 6.0001 10.4715 90.00 110.91 90.00
Space group C2/c (No. 15)
Asymmetric unit:
Rb 0.1263 0.2354 0.1267 [8 per cell]
Te 0.0000 0.2701 0.7500 [4 per cell]
H 0.2246 0.2945 0.4817 [8 per cell]



Record 5
For Rb2TeH8, a PBE-relaxed structure gives the simulated powder X-ray diffraction pattern in this record (CuKα).
Neutral-atom scattering factors, no anomalous dispersion.

Top 10 peaks for 10 to 90 degrees two-theta, by angle:
12.10 deg, I 46.7, hkl 1 1 0
20.26 deg, I 23.0, hkl 1 1 1
23.67 deg, I 100.0, hkl 2 0 1
24.34 deg, I 44.8, hkl 2 2 0
27.27 deg, I 11.6, hkl 3 1 0
31.87 deg, I 17.2, hkl 3 1 1
34.69 deg, I 19.3, hkl 4 0 0
41.20 deg, I 22.5, hkl 2 2 2
42.43 deg, I 43.6, hkl 4 2 1
48.43 deg, I 14.5, hkl 4 0 2

Cell and atoms:
Lattice parameters (Å, degrees): 10.3390 10.3469 5.4745 90.00 90.00 90.00
Space group Cmmm (No. 65)
Asymmetric unit:
Rb 0.2500 0.2500 0.0000 [4 per cell]
Te 0.0000 0.0000 0.5000 [2 per cell]
H 0.0000 0.1743 0.0710 [8 per cell]
H 0.1748 0.0000 0.0710 [8 per cell]



Record 6
For RbTeH, a PBE-relaxed structure gives the simulated powder X-ray diffraction pattern in this record (CuKα).
Neutral-atom scattering factors, no anomalous dispersion.

Top 10 peaks for 10 to 90 degrees two-theta, by angle:
27.43 deg, I 100.0, hkl 2 1 1
28.24 deg, I 21.7, hkl 0 2 0
29.46 deg, I 20.8, hkl 0 0 2
37.01 deg, I 11.5, hkl 4 0 0
41.26 deg, I 15.5, hkl 0 2 2
47.20 deg, I 10.8, hkl 4 2 0
47.99 deg, I 10.6, hkl 4 0 2
49.50 deg, I 16.4, hkl 2 3 1
51.02 deg, I 17.3, hkl 2 1 3
56.62 deg, I 12.1, hkl 4 2 2

Cell and atoms:
Lattice parameters (Å, degrees): 9.7156 6.3198 6.0647 90.00 90.00 90.00
Space group Ima2 (No. 46)
Asymmetric unit:
Rb 0.0000 0.0000 0.0000 [4 per cell]
Te 0.2500 0.0284 0.5104 [4 per cell]
H 0.2500 0.6731 0.8216 [4 per cell]